# 1
Sc2Nb3Ge3: simulated powder diffraction line list (Cu Kα, 1.54184 Å), based on the GGA-PBE geometry in Alexandria.
No peak broadening, texture or thermal motion is included.

Main lines, in order of rising 2θ (10° ≤ 2θ ≤ 90°):
2θ 12.91, I = 31.0
2θ 13.04, I = 33.0
2θ 35.56, I = 20.1
2θ 38.53, I = 31.3
2θ 38.67, I = 43.7
2θ 38.89, I = 31.1
2θ 39.44, I = 34.2
2θ 39.82, I = 69.0
2θ 40.29, I = 100.0
2θ 40.42, I = 45.1

Structure:
```
data_Sc2Nb3Ge3
_chemical_formula_sum 'Sc4 Nb6 Ge6'
_cell_length_a 5.4372
_cell_length_b 7.8909
_cell_length_c 7.8909
_cell_angle_alpha 120.62
_cell_angle_beta 90.00
_cell_angle_gamma 90.00
_symmetry_space_group_name_H-M 'P 1'
_symmetry_Int_Tables_number 1
_symmetry_space_group_name_Hall 'P 1'
loop_
_atom_site_label
_atom_site_type_symbol
_atom_site_fract_x
_atom_site_fract_y
_atom_site_fract_z
Sc1 Sc 0.0000 0.0000 0.0000
Sc2 Sc 0.0000 0.2444 0.4971
Sc3 Sc 0.0000 0.4971 0.2444
Sc4 Sc 0.5000 0.4944 0.4944
Nb1 Nb 0.2500 0.5776 0.9114
Nb2 Nb 0.2500 0.9114 0.5776
Nb3 Nb 0.5000 0.2431 0.9770
Nb4 Nb 0.5000 0.9770 0.2431
Nb5 Nb 0.7500 0.5776 0.9114
Nb6 Nb 0.7500 0.9114 0.5776
Ge1 Ge 0.0000 0.2439 0.8534
Ge2 Ge 0.0000 0.6375 0.6375
Ge3 Ge 0.0000 0.8534 0.2439
Ge4 Ge 0.5000 0.2434 0.6302
Ge5 Ge 0.5000 0.6302 0.2434
Ge6 Ge 0.5000 0.8576 0.8576
```

---

# 2
Dy2Ho2Ga4Au: simulated powder diffraction line list (Cu Kα, 1.54184 Å), based on the GGA-PBE geometry in Alexandria.
No peak broadening, texture or thermal motion is included.

Main lines, in order of rising 2θ (10° ≤ 2θ ≤ 90°):
2θ 25.38, I = 58.0
2θ 27.01, I = 28.0
2θ 32.58, I = 84.9
2θ 32.97, I = 48.2
2θ 36.21, I = 100.0
2θ 42.06, I = 53.2
2θ 52.13, I = 35.2
2θ 55.70, I = 28.7
2θ 62.84, I = 24.9
2θ 77.81, I = 19.9

Structure:
```
data_Dy2Ho2Ga4Au
_chemical_formula_sum 'Dy2 Ho2 Ga4 Au1'
_cell_length_a 6.6456
_cell_length_b 6.6456
_cell_length_c 6.6456
_cell_angle_alpha 116.26
_cell_angle_beta 116.26
_cell_angle_gamma 96.61
_symmetry_space_group_name_H-M 'P 1'
_symmetry_Int_Tables_number 1
_symmetry_space_group_name_Hall 'P 1'
loop_
_atom_site_label
_atom_site_type_symbol
_atom_site_fract_x
_atom_site_fract_y
_atom_site_fract_z
Dy1 Dy 0.2500 0.7500 0.5000
Dy2 Dy 0.7500 0.2500 0.5000
Ho1 Ho 0.1865 0.1865 0.0000
Ho2 Ho 0.8135 0.8135 0.0000
Ga1 Ga 0.2455 0.2455 0.4910
Ga2 Ga 0.2455 0.7545 0.0000
Ga3 Ga 0.7545 0.2455 0.0000
Ga4 Ga 0.7545 0.7545 0.5090
Au1 Au 0.5000 0.5000 0.0000
```

---

# 3
K2NaN6: simulated powder diffraction line list (Cu Kα, 1.54184 Å), based on the GGA-PBE geometry in Alexandria.
No peak broadening, texture or thermal motion is included.

Main lines, in order of rising 2θ (10° ≤ 2θ ≤ 90°):
2θ 16.98, I = 58.5
2θ 23.32, I = 41.3
2θ 29.63, I = 37.9
2θ 32.06, I = 27.1
2θ 33.78, I = 53.2
2θ 34.34, I = 18.0
2θ 38.04, I = 100.0
2θ 44.21, I = 37.0
2θ 48.94, I = 14.6
2θ 61.51, I = 18.8

Structure:
```
data_K2NaN6
_chemical_formula_sum 'K2 Na1 N6'
_cell_length_a 6.0288
_cell_length_b 6.0288
_cell_length_c 5.5836
_cell_angle_alpha 90.00
_cell_angle_beta 90.00
_cell_angle_gamma 119.94
_symmetry_space_group_name_H-M 'P 1'
_symmetry_Int_Tables_number 1
_symmetry_space_group_name_Hall 'P 1'
loop_
_atom_site_label
_atom_site_type_symbol
_atom_site_fract_x
_atom_site_fract_y
_atom_site_fract_z
K1 K 0.1668 0.8332 0.0000
K2 K 0.8332 0.1668 0.0000
Na1 Na 0.5000 0.5000 0.5000
N1 N 0.0000 0.0000 0.3956
N2 N 0.0000 0.0000 0.6044
N3 N 0.0000 0.5000 0.3956
N4 N 0.0000 0.5000 0.6044
N5 N 0.5000 0.0000 0.3956
N6 N 0.5000 0.0000 0.6044
```

---

# 4
Rb2Na2Au15: simulated powder diffraction line list (Cu Kα, 1.54184 Å), based on the GGA-PBE geometry in Alexandria.
No peak broadening, texture or thermal motion is included.

Main lines, in order of rising 2θ (10° ≤ 2θ ≤ 90°):
2θ 17.76, I = 74.9
2θ 35.96, I = 32.8
2θ 36.59, I = 97.9
2θ 38.41, I = 38.4
2θ 40.95, I = 100.0
2θ 42.62, I = 20.6
2θ 53.63, I = 17.3
2θ 58.87, I = 20.2
2θ 64.65, I = 22.6
2θ 77.77, I = 24.9

Structure:
```
data_Rb2Na2Au15
_chemical_formula_sum 'Rb2 Na2 Au15'
_cell_length_a 7.4314
_cell_length_b 7.4314
_cell_length_c 7.4314
_cell_angle_alpha 84.45
_cell_angle_beta 84.45
_cell_angle_gamma 84.45
_symmetry_space_group_name_H-M 'P 1'
_symmetry_Int_Tables_number 1
_symmetry_space_group_name_Hall 'P 1'
loop_
_atom_site_label
_atom_site_type_symbol
_atom_site_fract_x
_atom_site_fract_y
_atom_site_fract_z
Rb1 Rb 0.1522 0.1522 0.1522
Rb2 Rb 0.8478 0.8478 0.8478
Na1 Na 0.3993 0.3993 0.3993
Na2 Na 0.6007 0.6007 0.6007
Au1 Au 0.0000 0.5000 0.5000
Au2 Au 0.1567 0.1567 0.6559
Au3 Au 0.1567 0.6559 0.1567
Au4 Au 0.1934 0.5000 0.8066
Au5 Au 0.1934 0.8066 0.5000
Au6 Au 0.3441 0.8433 0.8433
Au7 Au 0.5000 0.0000 0.5000
Au8 Au 0.5000 0.1934 0.8066
Au9 Au 0.5000 0.5000 0.0000
Au10 Au 0.5000 0.8066 0.1934
Au11 Au 0.6559 0.1567 0.1567
Au12 Au 0.8066 0.1934 0.5000
Au13 Au 0.8066 0.5000 0.1934
Au14 Au 0.8433 0.3441 0.8433
Au15 Au 0.8433 0.8433 0.3441
```

---

# 5
KPmPuO4: simulated powder diffraction line list (Cu Kα, 1.54184 Å), based on the GGA-PBE geometry in Alexandria.
No peak broadening, texture or thermal motion is included.

Main lines, in order of rising 2θ (10° ≤ 2θ ≤ 90°):
2θ 14.99, I = 100.0
2θ 15.23, I = 33.3
2θ 28.96, I = 25.7
2θ 29.13, I = 27.8
2θ 29.33, I = 67.6
2θ 30.25, I = 39.9
2θ 30.74, I = 38.0
2θ 35.36, I = 60.3
2θ 46.23, I = 21.0
2θ 50.88, I = 38.7

Structure:
```
data_KPmPuO4
_chemical_formula_sum 'K2 Pm2 Pu2 O8'
_cell_length_a 7.1790
_cell_length_b 7.1790
_cell_length_c 7.1790
_cell_angle_alpha 120.72
_cell_angle_beta 119.15
_cell_angle_gamma 90.12
_symmetry_space_group_name_H-M 'P 1'
_symmetry_Int_Tables_number 1
_symmetry_space_group_name_Hall 'P 1'
loop_
_atom_site_label
_atom_site_type_symbol
_atom_site_fract_x
_atom_site_fract_y
_atom_site_fract_z
K1 K 0.3723 0.1223 0.2500
K2 K 0.6277 0.8777 0.7500
Pm1 Pm 0.0000 0.5000 0.5000
Pm2 Pm 0.5000 0.5000 0.0000
Pu1 Pu 0.0000 0.0000 0.5000
Pu2 Pu 0.0000 0.5000 0.0000
O1 O 0.1793 0.7339 0.4454
O2 O 0.2115 0.2661 0.9454
O3 O 0.2174 0.2557 0.5383
O4 O 0.2174 0.6792 0.9617
O5 O 0.7826 0.3208 0.0383
O6 O 0.7826 0.7443 0.4617
O7 O 0.7885 0.7339 0.0546
O8 O 0.8207 0.2661 0.5546
```

---

# 6
Sr2CdBi: simulated powder diffraction line list (Cu Kα, 1.54184 Å), based on the GGA-PBE geometry in Alexandria.
No peak broadening, texture or thermal motion is included.

Main lines, in order of rising 2θ (10° ≤ 2θ ≤ 90°):
2θ 19.87, I = 18.2
2θ 28.34, I = 100.0
2θ 29.51, I = 35.3
2θ 32.03, I = 97.0
2θ 34.29, I = 21.1
2θ 34.55, I = 37.2
2θ 39.65, I = 25.5
2θ 46.07, I = 24.9
2θ 53.59, I = 21.2
2θ 62.36, I = 17.0

Structure:
```
data_Sr2CdBi
_chemical_formula_sum 'Sr4 Cd2 Bi2'
_cell_length_a 12.3205
_cell_length_b 12.3205
_cell_length_c 5.1919
_cell_angle_alpha 90.00
_cell_angle_beta 90.00
_cell_angle_gamma 158.74
_symmetry_space_group_name_H-M 'P 1'
_symmetry_Int_Tables_number 1
_symmetry_space_group_name_Hall 'P 1'
loop_
_atom_site_label
_atom_site_type_symbol
_atom_site_fract_x
_atom_site_fract_y
_atom_site_fract_z
Sr1 Sr 0.0549 0.9451 0.7500
Sr2 Sr 0.1901 0.8099 0.2500
Sr3 Sr 0.8099 0.1901 0.7500
Sr4 Sr 0.9451 0.0549 0.2500
Cd1 Cd 0.3340 0.6660 0.2500
Cd2 Cd 0.6660 0.3340 0.7500
Bi1 Bi 0.4255 0.5745 0.7500
Bi2 Bi 0.5745 0.4255 0.2500
```

---

# 7
Ce3ThSe4: simulated powder diffraction line list (Cu Kα, 1.54184 Å), based on the GGA-PBE geometry in Alexandria.
No peak broadening, texture or thermal motion is included.

Main lines, in order of rising 2θ (10° ≤ 2θ ≤ 90°):
2θ 14.95, I = 3.6
2θ 26.04, I = 21.2
2θ 30.15, I = 100.0
2θ 43.17, I = 74.9
2θ 51.11, I = 10.7
2θ 53.56, I = 26.5
2θ 62.70, I = 12.3
2θ 69.07, I = 4.4
2θ 71.13, I = 34.0
2θ 79.16, I = 25.5

Structure:
```
data_Ce3ThSe4
_chemical_formula_sum 'Ce3 Th1 Se4'
_cell_length_a 5.9273
_cell_length_b 5.9273
_cell_length_c 5.9273
_cell_angle_alpha 90.00
_cell_angle_beta 90.00
_cell_angle_gamma 90.00
_symmetry_space_group_name_H-M 'P 1'
_symmetry_Int_Tables_number 1
_symmetry_space_group_name_Hall 'P 1'
loop_
_atom_site_label
_atom_site_type_symbol
_atom_site_fract_x
_atom_site_fract_y
_atom_site_fract_z
Ce1 Ce 0.0000 0.0000 0.5000
Ce2 Ce 0.0000 0.5000 0.0000
Ce3 Ce 0.5000 0.0000 0.0000
Th1 Th 0.5000 0.5000 0.5000
Se1 Se 0.0000 0.0000 0.0000
Se2 Se 0.0000 0.5000 0.5000
Se3 Se 0.5000 0.0000 0.5000
Se4 Se 0.5000 0.5000 0.0000
```

---

# 8
Ce4CdB3Rh12: simulated powder diffraction line list (Cu Kα, 1.54184 Å), based on the GGA-PBE geometry in Alexandria.
No peak broadening, texture or thermal motion is included.

Main lines, in order of rising 2θ (10° ≤ 2θ ≤ 90°):
2θ 28.86, I = 9.1
2θ 32.36, I = 4.9
2θ 35.54, I = 100.0
2θ 38.50, I = 7.2
2θ 41.27, I = 66.3
2θ 48.82, I = 5.8
2θ 59.79, I = 40.7
2θ 71.53, I = 32.9
2θ 75.24, I = 12.7
2θ 89.64, I = 6.1

Structure:
```
data_Ce4CdB3Rh12
_chemical_formula_sum 'Ce4 Cd1 B3 Rh12'
_cell_length_a 7.5775
_cell_length_b 7.5775
_cell_length_c 7.5775
_cell_angle_alpha 109.47
_cell_angle_beta 109.47
_cell_angle_gamma 109.47
_symmetry_space_group_name_H-M 'P 1'
_symmetry_Int_Tables_number 1
_symmetry_space_group_name_Hall 'P 1'
loop_
_atom_site_label
_atom_site_type_symbol
_atom_site_fract_x
_atom_site_fract_y
_atom_site_fract_z
Ce1 Ce 0.0000 0.0000 0.5000
Ce2 Ce 0.0000 0.5000 0.0000
Ce3 Ce 0.5000 0.0000 0.0000
Ce4 Ce 0.5000 0.5000 0.5000
Cd1 Cd 0.0000 0.0000 0.0000
B1 B 0.0000 0.5000 0.5000
B2 B 0.5000 0.0000 0.5000
B3 B 0.5000 0.5000 0.0000
Rh1 Rh 0.0000 0.2816 0.2816
Rh2 Rh 0.0000 0.7184 0.7184
Rh3 Rh 0.2500 0.5000 0.7500
Rh4 Rh 0.2500 0.7500 0.5000
Rh5 Rh 0.2816 0.0000 0.2816
Rh6 Rh 0.2816 0.2816 0.0000
Rh7 Rh 0.5000 0.2500 0.7500
Rh8 Rh 0.5000 0.7500 0.2500
Rh9 Rh 0.7184 0.0000 0.7184
Rh10 Rh 0.7184 0.7184 0.0000
Rh11 Rh 0.7500 0.2500 0.5000
Rh12 Rh 0.7500 0.5000 0.2500
```